# 1
Starting from the PBE geometry in Alexandria, the X-ray powder pattern of Rb7NaZn2O6 was simulated for Cu Kα, 1.54184 Å.
Peak positions follow from Bragg's law for the DFT cell and can differ from measured ones.

Cell: 7.1376 9.5862 11.5187 Å, 105.94 92.34 107.29°
Fractional coordinates of all 32 atoms:
Rb1 0.0218 0.3761 0.3093
Rb2 0.0455 0.0173 0.3215
Rb3 0.0595 0.8388 0.0212
Rb4 0.2941 0.5700 0.0859
Rb5 0.4407 0.9772 0.8169
Rb6 0.4611 0.1672 0.5976
Rb7 0.4653 0.6344 0.6317
Rb8 0.5347 0.3656 0.3683
Rb9 0.5389 0.8328 0.4024
Rb10 0.5593 0.0228 0.1831
Rb11 0.7059 0.4300 0.9141
Rb12 0.9405 0.1612 0.9788
Rb13 0.9545 0.9827 0.6785
Rb14 0.9782 0.6239 0.6907
Na1 0.1968 0.3893 0.7840
Na2 0.8032 0.6107 0.2160
Zn1 0.0715 0.7467 0.4431
Zn2 0.4104 0.2517 0.0631
Zn3 0.5896 0.7483 0.9369
Zn4 0.9285 0.2533 0.5569
O1 0.1466 0.7247 0.2808
O2 0.2090 0.3288 0.5509
O3 0.2249 0.1668 0.1624
O4 0.2629 0.8426 0.5863
O5 0.3097 0.6735 0.8756
O6 0.3158 0.2542 0.9029
O7 0.6842 0.7458 0.0971
O8 0.6903 0.3265 0.1244
O9 0.7371 0.1574 0.4137
O10 0.7751 0.8332 0.8376
O11 0.7910 0.6712 0.4491
O12 0.8534 0.2753 0.7192

Main lines, by angle (10 to 80 degrees two-theta):
| Position (°2θ) | I_rel |
| --- | --- |
| 26.1 | 24 |
| 26.4 | 40 |
| 28.1 | 43 |
| 28.3 | 32 |
| 28.7 | 35 |
| 29.7 | 70 |
| 30.1 | 76 |
| 30.6 | 30 |
| 31.3 | 46 |
| 32.4 | 40 |
| 33.6 | 100 |
| 34.7 | 62 |

# 2
Starting from the PBE geometry in Alexandria, the X-ray powder pattern of NaReO4 was simulated for Cu Kα, 1.54184 Å.
Peak positions follow from Bragg's law for the DFT cell and can differ from measured ones.

Cell: 6.9138 6.4294 10.5944 Å, 90.00 92.60 90.00°
Fractional coordinates of all 24 atoms:
Na1 0.2117 0.1353 0.4687
Na2 0.2117 0.3647 0.9687
Na3 0.7883 0.6353 0.0313
Na4 0.7883 0.8647 0.5313
Re1 0.2780 0.6627 0.6662
Re2 0.2780 0.8373 0.1662
Re3 0.7220 0.1627 0.8338
Re4 0.7220 0.3373 0.3338
O1 0.1164 0.6418 0.1104
O2 0.1164 0.8582 0.6104
O3 0.2089 0.0779 0.1020
O4 0.2089 0.4221 0.6020
O5 0.2737 0.6489 0.8311
O6 0.2737 0.8511 0.3311
O7 0.4871 0.2252 0.8762
O8 0.4871 0.2748 0.3762
O9 0.5129 0.7252 0.6238
O10 0.5129 0.7748 0.1238
O11 0.7263 0.1489 0.6689
O12 0.7263 0.3511 0.1689
O13 0.7911 0.5779 0.3980
O14 0.7911 0.9221 0.8980
O15 0.8836 0.1418 0.3896
O16 0.8836 0.3582 0.8896

Main lines, by angle (10 to 80 degrees two-theta):
| Position (°2θ) | I_rel |
| --- | --- |
| 18.9 | 100 |
| 20.4 | 24 |
| 20.7 | 62 |
| 20.9 | 46 |
| 21.6 | 29 |
| 21.8 | 76 |
| 25.8 | 82 |
| 28.9 | 16 |
| 29.0 | 28 |
| 31.7 | 17 |
| 39.5 | 22 |
| 45.2 | 18 |